The following is a theoretical powder diffractogram of V3O5F3. It was derived from a DFT-relaxed cell (GGA+U, Alexandria), using a wavelength of 1.5418 Å.

Atomic structure:
a b c (Å): 9.133 11.471 4.999
angles (deg): 90.00 90.65 90.00
Space group Cc (No. 9)
One atom of each set of equivalent atoms:
V1 0.000 0.069 0.000 [4 per cell]
V2 0.245 0.332 0.992 [4 per cell]
V3 0.496 0.095 0.978 [4 per cell]
O1 0.100 0.047 0.719 [4 per cell]
O2 0.107 0.426 0.173 [4 per cell]
O3 0.119 0.331 0.677 [4 per cell]
O4 0.370 0.197 0.890 [4 per cell]
O5 0.372 0.434 0.850 [4 per cell]
F1 0.119 0.197 0.137 [4 per cell]
F2 0.357 0.321 0.338 [4 per cell]
F3 0.390 0.039 0.289 [4 per cell]

Largest 12 diffraction maxima, by intensity, 10 to 90 degrees two-theta:
Position (°2θ), I (rel.), h k l
30.63, 100, 2 2 -1
30.90, 91, 2 2 1
24.93, 86, 2 2 0
54.74, 62, 4 4 1
41.43, 61, 2 4 1
21.79, 52, 1 1 1
25.25, 51, 1 3 0
12.39, 43, 1 1 0
21.61, 40, 1 1 -1
23.61, 38, 0 2 1
19.44, 37, 2 0 0
54.39, 31, 4 4 -1